No. 1
# Er2Mn2BC2
Computed PXRD pattern, Cu Kα (λ = 1.5418 Å). Input: DFT lattice parameters and positions (GGA-PBE).
Lines closer than 0.1° are merged.

Most intense lines, 2θ from 15° to 90°, sorted by position:
h k l	2θ (°)	I_rel
1 1 0	28.19	100.0
2 0 -2	28.86	66.3
2 0 1	33.92	89.8
4 0 -1	35.79	52.8
1 1 1	36.19	67.5
4 0 -2	37.12	34.2
3 1 -1	37.38	92.8
1 1 -2	40.24	88.7
3 1 -2	41.32	33.1
0 2 0	53.75	41.4

Structural model:
a = 10.180 Å, b = 3.412 Å, c = 6.201 Å
α = 90.00°, β = 123.50°, γ = 90.00°
Space group C2/m (No. 12)
Asymmetric unit:
Er 0.076 0.000 0.340
Mn 0.208 0.500 0.088
B 0.000 0.500 0.000
C 0.190 0.500 0.748

***

No. 2
# TbCd9Au2
Computed PXRD pattern, Cu Kα (λ = 1.5418 Å). Input: DFT lattice parameters and positions (GGA-PBE).
Lines closer than 0.1° are merged.

Most intense lines, 2θ from 15° to 90°, sorted by position:
h k l	2θ (°)	I_rel
3 2 1	29.62	33.2
4 2 0	33.74	100.0
1 0 3	36.57	24.7
2 1 3	39.70	22.1
5 0 1	39.83	66.3
4 2 2	41.64	36.8
5 2 1	42.76	11.3
5 5 2	60.39	18.7
7 4 1	64.51	12.2
8 4 0	71.07	14.3

Structural model:
a = 11.864 Å, b = 11.864 Å, c = 7.536 Å
α = 90.00°, β = 90.00°, γ = 90.00°
Space group I4_1/amd (No. 141, origin choice 2)
Asymmetric unit:
Tb 0.000 0.250 0.375
Cd 0.000 0.250 0.875
Cd 0.120 0.051 0.672
Au 0.000 0.000 0.000

***

No. 3
# La4Nd5Er2
Computed PXRD pattern, Cu Kα (λ = 1.5418 Å). Input: DFT lattice parameters and positions (GGA-PBE).
Lines closer than 0.1° are merged.

Most intense lines, 2θ from 15° to 90°, sorted by position:
h k l	2θ (°)	I_rel
1 1 0	26.78	26.4
1 1 2	27.88	36.2
0 1 7	28.53	30.8
0 2 6	29.69	68.3
0 3 3	30.22	54.9
1 2 1	31.58	100.0
1 1 6	35.61	25.6
1 0 7	37.14	42.3
1 3 6	44.77	29.1
1 2 13	61.32	31.0

Structural model:
a = 3.550 Å, b = 9.604 Å, c = 23.167 Å
α = 90.00°, β = 90.00°, γ = 90.00°
Space group Immm (No. 71)
Asymmetric unit:
La 0.000 0.000 0.093
La 0.000 0.290 0.500
Nd 0.000 0.206 0.347
Nd 0.000 0.500 0.000
Er 0.000 0.000 0.229

***

No. 4
# CaP2IrOs
Computed PXRD pattern, Cu Kα (λ = 1.5418 Å). Input: DFT lattice parameters and positions (GGA-PBE).
Lines closer than 0.1° are merged.

Most intense lines, 2θ from 15° to 90°, sorted by position:
h k l	2θ (°)	I_rel
0 0 2	17.92	88.8
1 1 0	31.13	31.0
1 1 2	36.15	100.0
0 0 4	36.31	18.1
2 0 0	44.60	36.3
2 0 2	48.43	28.7
1 1 4	48.56	39.1
2 0 4	58.81	18.3
1 1 6	65.22	18.1
3 1 2	76.64	31.1

Structural model:
a = 4.063 Å, b = 4.063 Å, c = 9.897 Å
α = 90.00°, β = 90.00°, γ = 90.00°
Space group I-4m2 (No. 119)
Asymmetric unit:
Ca 0.000 0.000 0.000
P 0.000 0.000 0.374
Ir 0.000 0.500 0.750
Os 0.000 0.500 0.250

***

No. 5
# Bi2Pd5Se2
Computed PXRD pattern, Cu Kα (λ = 1.5418 Å). Input: DFT lattice parameters and positions (GGA-PBE).
Lines closer than 0.1° are merged.

Most intense lines, 2θ from 15° to 90°, sorted by position:
h k l	2θ (°)	I_rel
0 0 2	24.75	37.8
1 1 -1	25.38	65.8
4 0 0	25.82	30.9
3 1 0	29.68	31.6
1 1 2	35.79	21.9
5 1 -1	38.29	100.0
4 0 2	41.75	44.8
1 1 -3	42.67	74.1
0 2 0	45.61	35.1
4 2 2	63.54	25.9

Structural model:
a = 14.598 Å, b = 3.978 Å, c = 7.607 Å
α = 90.00°, β = 108.98°, γ = 90.00°
Space group C2/m (No. 12)
Asymmetric unit:
Bi 0.135 0.000 0.222
Pd 0.000 0.500 0.000
Pd 0.057 0.500 0.385
Pd 0.080 0.000 0.833
Se 0.147 0.500 0.721

***

No. 6
# Cd6GaAg8
Computed PXRD pattern, Cu Kα (λ = 1.5418 Å). Input: DFT lattice parameters and positions (GGA-PBE).
Lines closer than 0.1° are merged.

Most intense lines, 2θ from 15° to 90°, sorted by position:
h k l	2θ (°)	I_rel
1 1 0	22.39	18.0
2 0 1	30.37	23.6
2 1 1	38.05	45.0
2 -1 2	38.93	100.0
3 0 0	39.30	70.5
2 2 2	56.51	20.4
5 -2 1	60.93	16.0
4 -1 3	69.92	10.6
1 1 4	70.26	15.8
5 -1 2	71.00	12.8

Structural model:
a = 7.9419 Å, b = 7.9419 Å, c = 5.6928 Å
α = 90.00°, β = 90.00°, γ = 120.00°
Space group P-31m (No. 162)
Asymmetric unit:
Cd 0.0000 0.3723 0.1678
Ga 0.0000 0.0000 0.0000
Ag 0.0000 0.2833 0.6615
Ag 0.3333 0.6667 0.5000

***

No. 7
# Cs3Tl4Bi
Computed PXRD pattern, Cu Kα (λ = 1.5418 Å). Input: DFT lattice parameters and positions (GGA-PBE).
Lines closer than 0.1° are merged.

Most intense lines, 2θ from 15° to 90°, sorted by position:
h k l	2θ (°)	I_rel
1 1 1	21.44	48.3
0 0 2	27.27	34.4
3 1 -2	27.61	100.0
0 2 1	27.85	98.1
3 1 1	31.43	99.7
1 1 2	33.43	50.4
6 0 -1	35.23	40.4
5 1 -3	40.55	30.2
3 3 -2	44.76	36.1
0 2 3	48.55	41.7

Structural model:
a = 15.472 Å, b = 7.350 Å, c = 7.463 Å
α = 90.00°, β = 118.75°, γ = 90.00°
Space group C2 (No. 5)
Asymmetric unit:
Cs 0.000 0.000 0.000
Cs 0.156 0.254 0.550
Tl 0.097 0.538 0.981
Tl 0.233 0.728 0.840
Bi 0.000 0.727 0.500

***

No. 8
# Sr3Mg3Tl8
Computed PXRD pattern, Cu Kα (λ = 1.5418 Å). Input: DFT lattice parameters and positions (GGA-PBE).
Lines closer than 0.1° are merged.

Most intense lines, 2θ from 15° to 90°, sorted by position:
h k l	2θ (°)	I_rel
0 2 0	15.93	26.2
1 1 0	19.17	30.2
0 0 4	24.19	49.3
0 2 4	29.09	40.9
1 3 0	29.80	100.0
1 2 3	29.96	42.7
1 1 4	31.05	59.4
2 0 0	35.25	56.7
1 4 1	37.34	29.7
1 3 4	38.74	49.2

Structural model:
a = 5.091 Å, b = 11.130 Å, c = 14.718 Å
α = 90.00°, β = 90.00°, γ = 90.00°
Space group Immm (No. 71)
Asymmetric unit:
Sr 0.000 0.000 0.000
Sr 0.000 0.000 0.286
Mg 0.000 0.168 0.500
Mg 0.000 0.500 0.000
Tl 0.000 0.298 0.138
Tl 0.000 0.362 0.353